The following is a theoretical PXRD pattern of Pb3Cl. It was derived from a cell relaxed with PBE, using Cu Ka.
Kinematic intensities with the Lorentz-polarization factor, no thermal factor.

Most intense lines, 2θ from 10° to 90°, by angle:
- 2θ 26.95, intensity 138, (1 1 1)
- 2θ 31.72, intensity 1000, (1 1 2)
- 2θ 32.89, intensity 230, (0 2 0)
- 2θ 38.52, intensity 154, (0 0 4)
- 2θ 38.71, intensity 149, (2 0 0)
- 2θ 51.53, intensity 126, (0 2 4)
- 2θ 51.68, intensity 131, (2 2 0)
- 2θ 57.99, intensity 184, (1 3 2)
- 2θ 65.71, intensity 127, (3 1 2)
- 2θ 66.26, intensity 120, (2 2 4)

a b c (Å): 4.653 5.447 9.349
angles (deg): 90.00 90.00 90.00
Positions (direct):
Pb (0.000, 0.000, 0.000)
Pb (0.000, 0.500, 0.261)
Pb (0.000, 0.500, 0.739)
Pb (0.500, 0.000, 0.261)
Pb (0.500, 0.000, 0.739)
Pb (0.500, 0.500, 0.000)
Cl (0.000, 0.000, 0.500)
Cl (0.500, 0.500, 0.500)